For PmSm4Ag, a cell relaxed with GGA-PBE gives the calculated powder X-ray diffraction pattern in this record (λ = 1.5418 Å (Cu Kα)).
Peak positions follow from Bragg's law for the DFT cell and can differ from measured ones.

Cell and atoms:
Cell: 10.909 10.909 6.543 Å, 90.00 90.00 150.44°
Sites, in units of the cell vectors:
Pm 0.133 0.867 0.500
Pm 0.867 0.133 0.000
Sm 0.065 0.935 0.001
Sm 0.253 0.747 0.114
Sm 0.323 0.677 0.640
Sm 0.466 0.534 0.833
Sm 0.534 0.466 0.333
Sm 0.677 0.323 0.140
Sm 0.747 0.253 0.614
Sm 0.935 0.065 0.501
Ag 0.395 0.605 0.240
Ag 0.605 0.395 0.740

The 6 most intense peaks (15 to 90 degrees two-theta), sorted by position:
Position (°2θ), I/Imax
28.57, 27.6
29.88, 100.0
32.01, 56.8
32.17, 61.5
36.58, 48.2
60.29, 26.9


For Pm3Sm4Ag, a cell relaxed with GGA-PBE gives the calculated powder X-ray diffraction pattern in this record (λ = 1.5418 Å (Cu Kα)).
Peak positions follow from Bragg's law for the DFT cell and can differ from measured ones.

Cell and atoms:
Cell: 3.647 3.647 19.338 Å, 90.00 90.00 90.00°
Sites, in units of the cell vectors:
Pm 0.000 0.000 0.000
Pm 0.000 0.000 0.266
Pm 0.000 0.000 0.734
Sm 0.500 0.500 0.134
Sm 0.500 0.500 0.400
Sm 0.500 0.500 0.600
Sm 0.500 0.500 0.866
Ag 0.000 0.000 0.500

The 6 most intense peaks (15 to 90 degrees two-theta), sorted by position:
Position (°2θ), I/Imax
30.71, 100.0
34.79, 42.1
50.03, 15.0
51.84, 13.7
59.85, 30.6
83.91, 11.4


For Pm2SmAg5, a cell relaxed with GGA-PBE gives the calculated powder X-ray diffraction pattern in this record (λ = 1.5418 Å (Cu Kα)).
Peak positions follow from Bragg's law for the DFT cell and can differ from measured ones.

Cell and atoms:
Cell: 8.091 8.091 8.091 Å, 142.85 142.85 53.55°
Sites, in units of the cell vectors:
Pm 0.231 0.231 0.000
Pm 0.769 0.769 0.000
Sm 0.500 0.500 0.000
Ag 0.000 0.000 0.000
Ag 0.117 0.617 0.500
Ag 0.383 0.883 0.500
Ag 0.617 0.117 0.500
Ag 0.883 0.383 0.500

The 6 most intense peaks (15 to 90 degrees two-theta), sorted by position:
Position (°2θ), I/Imax
34.81, 55.3
34.97, 100.0
50.05, 19.3
62.52, 35.4
62.83, 13.2
84.00, 16.2


For Pm12Ag2Sn5, a cell relaxed with GGA-PBE gives the calculated powder X-ray diffraction pattern in this record (λ = 1.5418 Å (Cu Kα)).
Peak positions follow from Bragg's law for the DFT cell and can differ from measured ones.

Cell and atoms:
Cell: 9.449 9.449 9.731 Å, 97.39 97.39 48.08°
Sites, in units of the cell vectors:
Pm 0.016 0.016 0.300
Pm 0.089 0.573 0.889
Pm 0.104 0.603 0.424
Pm 0.397 0.896 0.576
Pm 0.427 0.911 0.111
Pm 0.472 0.472 0.171
Pm 0.528 0.528 0.829
Pm 0.573 0.089 0.889
Pm 0.603 0.104 0.424
Pm 0.896 0.397 0.576
Pm 0.911 0.427 0.111
Pm 0.984 0.984 0.700
Ag 0.178 0.822 0.000
Ag 0.822 0.178 0.000
Sn 0.168 0.168 0.844
Sn 0.207 0.207 0.360
Sn 0.500 0.500 0.500
Sn 0.793 0.793 0.640
Sn 0.832 0.832 0.156

The 6 most intense peaks (15 to 90 degrees two-theta), sorted by position:
Position (°2θ), I/Imax
29.71, 44.4
30.64, 100.0
31.27, 90.9
31.42, 84.5
32.42, 53.7
37.33, 64.3


For PmAg4Sn2, a cell relaxed with GGA-PBE gives the calculated powder X-ray diffraction pattern in this record (λ = 1.5418 Å (Cu Kα)).
Peak positions follow from Bragg's law for the DFT cell and can differ from measured ones.

Cell and atoms:
Cell: 8.216 8.216 4.618 Å, 90.00 90.00 90.00°
Sites, in units of the cell vectors:
Pm 0.000 0.000 0.000
Pm 0.500 0.500 0.500
Ag 0.101 0.355 0.500
Ag 0.145 0.601 0.000
Ag 0.355 0.101 0.500
Ag 0.399 0.855 0.000
Ag 0.601 0.145 0.000
Ag 0.645 0.899 0.500
Ag 0.855 0.399 0.000
Ag 0.899 0.645 0.500
Sn 0.212 0.788 0.500
Sn 0.288 0.288 0.000
Sn 0.712 0.712 0.000
Sn 0.788 0.212 0.500

The 6 most intense peaks (15 to 90 degrees two-theta), sorted by position:
Position (°2θ), I/Imax
30.78, 29.0
31.11, 100.0
34.52, 47.6
36.54, 86.8
39.01, 58.6
39.81, 99.8


For Pm5AgSn8, a cell relaxed with GGA-PBE gives the calculated powder X-ray diffraction pattern in this record (λ = 1.5418 Å (Cu Kα)).
Peak positions follow from Bragg's law for the DFT cell and can differ from measured ones.

Cell and atoms:
Cell: 8.047 8.047 8.047 Å, 107.38 107.38 113.73°
Sites, in units of the cell vectors:
Pm 0.000 0.000 0.000
Pm 0.094 0.248 0.610
Pm 0.516 0.906 0.154
Pm 0.638 0.484 0.390
Pm 0.752 0.362 0.846
Ag 0.250 0.750 0.500
Sn 0.081 0.664 0.759
Sn 0.236 0.470 0.114
Sn 0.336 0.095 0.417
Sn 0.356 0.122 0.886
Sn 0.530 0.644 0.766
Sn 0.678 0.919 0.583
Sn 0.878 0.764 0.234
Sn 0.905 0.322 0.241

The 6 most intense peaks (15 to 90 degrees two-theta), sorted by position:
Position (°2θ), I/Imax
29.65, 100.0
29.91, 85.6
31.93, 61.0
35.46, 61.2
36.13, 65.8
37.22, 82.3


For Pm4TlAg2Sn, a cell relaxed with GGA-PBE gives the calculated powder X-ray diffraction pattern in this record (λ = 1.5418 Å (Cu Kα)).
Peak positions follow from Bragg's law for the DFT cell and can differ from measured ones.

Cell and atoms:
Cell: 9.341 9.341 9.341 Å, 33.47 33.47 33.47°
Sites, in units of the cell vectors:
Pm 0.124 0.124 0.124
Pm 0.374 0.374 0.374
Pm 0.626 0.626 0.626
Pm 0.876 0.876 0.876
Tl 0.500 0.500 0.500
Ag 0.245 0.245 0.245
Ag 0.755 0.755 0.755
Sn 0.000 0.000 0.000

The 6 most intense peaks (15 to 90 degrees two-theta), sorted by position:
Position (°2θ), I/Imax
33.28, 100.0
47.78, 18.0
59.36, 9.1
59.51, 28.1
79.58, 7.8
79.69, 8.1


For SrPm4Ag5, a cell relaxed with GGA-PBE gives the calculated powder X-ray diffraction pattern in this record (λ = 1.5418 Å (Cu Kα)).
Peak positions follow from Bragg's law for the DFT cell and can differ from measured ones.

Cell and atoms:
Cell: 3.751 3.751 19.054 Å, 90.00 90.00 90.00°
Sites, in units of the cell vectors:
Sr 0.000 0.000 0.000
Pm 0.000 0.000 0.205
Pm 0.000 0.000 0.402
Pm 0.000 0.000 0.598
Pm 0.000 0.000 0.795
Ag 0.500 0.500 0.115
Ag 0.500 0.500 0.303
Ag 0.500 0.500 0.500
Ag 0.500 0.500 0.697
Ag 0.500 0.500 0.885

The 6 most intense peaks (15 to 90 degrees two-theta), sorted by position:
Position (°2θ), I/Imax
33.52, 100.0
33.80, 51.3
48.55, 18.2
59.76, 15.9
60.29, 35.6
70.45, 9.6